Diffraction record for Pr5Al4. The XRD peak list is calculated, not measured: it uses a DFT-relaxed cell (PBE, Alexandria) and Cu Kα, 1.54184 Å.
Neutral-atom scattering factors, no anomalous dispersion.

```
data_Pr5Al4
_chemical_formula_sum 'Pr10 Al8'
_symmetry_space_group_name_H-M 'C 1 2/m 1'
_symmetry_Int_Tables_number 12
_cell_length_a 11.0643
_cell_length_b 4.9003
_cell_length_c 10.8306
_cell_angle_alpha 90.00
_cell_angle_beta 119.27
_cell_angle_gamma 90.00
loop_
_symmetry_equiv_pos_as_xyz
'x,y,z'
'-x,-y,-z'
'-x,y,-z'
'x,-y,z'
'x+1/2,y+1/2,z'
'-x+1/2,-y+1/2,-z'
'-x+1/2,y+1/2,-z'
'x+1/2,-y+1/2,z'
loop_
_atom_site_label
_atom_site_fract_x
_atom_site_fract_y
_atom_site_fract_z
Pr1 0.0000 0.0000 0.0000
Pr2 0.1119 0.0000 0.4134
Pr3 0.2395 0.0000 0.8344
Al1 0.0354 0.5000 0.8218
Al2 0.1137 0.5000 0.6268
```

Top 12 peaks for 2θ from 5° to 70°, low angle first:
2theta, intensity, h k l
20.34, 53.1, 1 1 0
25.10, 65.1, 2 0 -3
30.62, 78.2, 3 1 -1
30.80, 100.0, 1 1 2
31.12, 24.3, 1 1 -3
32.36, 25.2, 2 0 2
33.54, 30.3, 4 0 -1
33.85, 41.8, 3 1 -3
36.68, 40.8, 0 2 0
44.96, 27.5, 2 2 -3
62.01, 23.4, 3 1 4
64.19, 23.2, 6 2 -4

=====

Diffraction record for Pr2Al3. The XRD peak list is calculated, not measured: it uses a DFT-relaxed cell (PBE, Alexandria) and Cu Kα, 1.54184 Å.
Neutral-atom scattering factors, no anomalous dispersion.

```
data_Pr2Al3
_chemical_formula_sum 'Pr8 Al12'
_symmetry_space_group_name_H-M 'C m c e'
_symmetry_Int_Tables_number 64
_symmetry_space_group_name_Hall '-C 2ac 2'
_cell_length_a 5.6234
_cell_length_b 10.8638
_cell_length_c 8.1668
_cell_angle_alpha 90.00
_cell_angle_beta 90.00
_cell_angle_gamma 90.00
loop_
_atom_site_label
_atom_site_fract_x
_atom_site_fract_y
_atom_site_fract_z
Pr1 0.0000 0.1572 0.0984
Al1 0.0000 0.0000 0.5000
Al2 0.2500 0.0959 0.7500
```

Top 12 peaks for 2θ from 5° to 70°, low angle first:
2theta, intensity, h k l
19.63, 23.3, 0 2 1
20.85, 41.3, 1 1 1
28.23, 100.0, 1 1 2
31.36, 98.7, 1 3 1
31.83, 24.0, 2 0 0
36.93, 44.2, 0 2 3
37.67, 42.3, 2 2 1
49.54, 17.0, 2 2 3
50.26, 27.7, 1 5 2
54.52, 15.9, 3 1 2
56.41, 21.3, 3 3 1
64.79, 17.5, 1 3 5

=====

Diffraction record for Pr3AlPt8. The XRD peak list is calculated, not measured: it uses a DFT-relaxed cell (PBE, Alexandria) and Cu Kα, 1.54184 Å.
Neutral-atom scattering factors, no anomalous dispersion.

```
data_Pr3AlPt8
_chemical_formula_sum 'Pr9 Al3 Pt24'
_symmetry_space_group_name_H-M 'R 3 m'
_symmetry_Int_Tables_number 160
_symmetry_space_group_name_Hall 'R 3 -2"'
_cell_length_a 5.5149
_cell_length_b 5.5149
_cell_length_c 26.8693
_cell_angle_alpha 90.00
_cell_angle_beta 90.00
_cell_angle_gamma 120.00
loop_
_atom_site_label
_atom_site_fract_x
_atom_site_fract_y
_atom_site_fract_z
Pr1 0.0000 0.0000 0.0000
Pr2 0.0000 0.0000 0.1306
Pr3 0.0000 0.0000 0.6098
Al1 0.0000 0.0000 0.4712
Pt1 0.0000 0.0000 0.3113
Pt2 0.0000 0.0000 0.8125
Pt3 0.0027 0.5013 0.5616
Pt4 0.1682 0.3364 0.3944
```

Top 12 peaks for 2θ from 5° to 70°, low angle first:
2theta, intensity, h k l
19.76, 43.4, 0 0 6
32.47, 9.5, 1 1 0
32.59, 7.1, 0 1 8
38.32, 100.0, 2 0 2
38.44, 31.7, 1 0 10
40.07, 62.5, 0 2 4
40.28, 19.0, 0 0 12
46.67, 22.4, 2 0 8
61.84, 19.1, 3 0 6
61.93, 15.9, 2 1 10
67.99, 21.9, 2 2 0
68.28, 17.4, 0 2 16

=====

Diffraction record for Pr2Al3Pt5. The XRD peak list is calculated, not measured: it uses a DFT-relaxed cell (PBE, Alexandria) and Cu Kα, 1.54184 Å.
Neutral-atom scattering factors, no anomalous dispersion.

```
data_Pr2Al3Pt5
_chemical_formula_sum 'Pr8 Al12 Pt20'
_symmetry_space_group_name_H-M 'C m c 21'
_symmetry_Int_Tables_number 36
_cell_length_a 4.2423
_cell_length_b 25.6301
_cell_length_c 6.9846
_cell_angle_alpha 90.00
_cell_angle_beta 90.00
_cell_angle_gamma 90.00
loop_
_symmetry_equiv_pos_as_xyz
'x,y,z'
'-x,-y,z+1/2'
'-x,y,z'
'x,-y,z+1/2'
'x+1/2,y+1/2,z'
'-x+1/2,-y+1/2,z+1/2'
'-x+1/2,y+1/2,z'
'x+1/2,-y+1/2,z+1/2'
loop_
_atom_site_label
_atom_site_fract_x
_atom_site_fract_y
_atom_site_fract_z
Pr1 0.0000 0.0231 0.0000
Pr2 0.0000 0.3281 0.9826
Al1 0.0000 0.1358 0.8432
Al2 0.0000 0.2820 0.4280
Al3 0.0000 0.4514 0.8268
Pt1 0.0000 0.0983 0.3261
Pt2 0.0000 0.1989 0.1561
Pt3 0.0000 0.2283 0.7298
Pt4 0.0000 0.3798 0.5413
Pt5 0.0000 0.4486 0.1953
```

Top 12 peaks for 2θ from 5° to 70°, low angle first:
2theta, intensity, h k l
14.44, 11.4, 0 2 1
26.71, 26.2, 1 3 1
33.13, 12.9, 0 6 2
34.86, 100.0, 1 7 1
37.37, 12.2, 0 10 1
37.70, 22.8, 1 5 2
38.07, 17.3, 1 9 0
41.26, 16.0, 0 4 3
42.62, 28.6, 2 0 0
44.35, 13.7, 0 12 1
46.37, 11.1, 1 9 2
65.87, 11.1, 1 13 3

=====

Diffraction record for Pr6Al2Pt. The XRD peak list is calculated, not measured: it uses a DFT-relaxed cell (PBE, Alexandria) and Cu Kα, 1.54184 Å.
Neutral-atom scattering factors, no anomalous dispersion.

```
data_Pr6Al2Pt
_chemical_formula_sum 'Pr12 Al4 Pt2'
_symmetry_space_group_name_H-M 'P 1 21/c 1'
_symmetry_Int_Tables_number 14
_cell_length_a 5.9002
_cell_length_b 9.0147
_cell_length_c 11.6460
_cell_angle_alpha 90.00
_cell_angle_beta 117.84
_cell_angle_gamma 90.00
loop_
_symmetry_equiv_pos_as_xyz
'x,y,z'
'-x,-y,-z'
'-x,y+1/2,-z+1/2'
'x,-y+1/2,z+1/2'
loop_
_atom_site_label
_atom_site_fract_x
_atom_site_fract_y
_atom_site_fract_z
Pr1 0.0094 0.1835 0.4354
Pr2 0.3459 0.0176 0.2755
Pr3 0.3679 0.6619 0.4352
Al1 0.1872 0.1368 0.7469
Pt1 0.0000 0.0000 0.0000
```

Top 12 peaks for 2θ from 5° to 70°, low angle first:
2theta, intensity, h k l
13.05, 23.8, 0 1 1
17.22, 13.5, 0 0 2
26.28, 12.4, 0 2 2
27.81, 15.0, 0 1 3
29.52, 22.3, 1 0 2
30.33, 31.7, 2 0 -2
31.18, 22.5, 1 1 2
31.95, 13.8, 2 1 -2
32.33, 22.8, 1 1 -4
32.79, 18.0, 0 2 3
33.48, 100.0, 1 3 -1
50.12, 17.6, 2 3 1

=====

Diffraction record for Pr3Al9Pt2. The XRD peak list is calculated, not measured: it uses a DFT-relaxed cell (PBE, Alexandria) and Cu Kα, 1.54184 Å.
Neutral-atom scattering factors, no anomalous dispersion.

```
data_Pr3Al9Pt2
_chemical_formula_sum 'Pr6 Al18 Pt4'
_symmetry_space_group_name_H-M 'I m m m'
_symmetry_Int_Tables_number 71
_symmetry_space_group_name_Hall '-I 2 2'
_cell_length_a 4.3531
_cell_length_b 10.2446
_cell_length_c 12.6112
_cell_angle_alpha 90.00
_cell_angle_beta 90.00
_cell_angle_gamma 90.00
loop_
_atom_site_label
_atom_site_fract_x
_atom_site_fract_y
_atom_site_fract_z
Pr1 0.0000 0.0000 0.0000
Pr2 0.0000 0.0000 0.3154
Al1 0.0000 0.2801 0.1219
Al2 0.0000 0.3669 0.3359
Al3 0.0000 0.5000 0.0000
Pt1 0.0000 0.2215 0.5000
```

Top 12 peaks for 2θ from 5° to 70°, low angle first:
2theta, intensity, h k l
14.05, 28.0, 0 0 2
21.60, 20.2, 1 0 1
22.19, 28.7, 1 1 0
22.36, 29.6, 0 2 2
27.81, 28.8, 1 2 1
33.82, 28.5, 0 3 3
34.44, 100.0, 1 2 3
35.04, 16.8, 0 4 0
36.32, 17.7, 1 3 2
41.37, 14.8, 1 0 5
41.49, 24.1, 2 0 0
54.56, 14.6, 2 3 3

=====

Diffraction record for Pr2Al5Pt3. The XRD peak list is calculated, not measured: it uses a DFT-relaxed cell (PBE, Alexandria) and Cu Kα, 1.54184 Å.
Neutral-atom scattering factors, no anomalous dispersion.

```
data_Pr2Al5Pt3
_chemical_formula_sum 'Pr8 Al20 Pt12'
_symmetry_space_group_name_H-M 'C m c 21'
_symmetry_Int_Tables_number 36
_cell_length_a 4.3843
_cell_length_b 25.6025
_cell_length_c 6.8520
_cell_angle_alpha 90.00
_cell_angle_beta 90.00
_cell_angle_gamma 90.00
loop_
_symmetry_equiv_pos_as_xyz
'x,y,z'
'-x,-y,z+1/2'
'-x,y,z'
'x,-y,z+1/2'
'x+1/2,y+1/2,z'
'-x+1/2,-y+1/2,z+1/2'
'-x+1/2,y+1/2,z'
'x+1/2,-y+1/2,z+1/2'
loop_
_atom_site_label
_atom_site_fract_x
_atom_site_fract_y
_atom_site_fract_z
Pr1 0.0000 0.0184 0.0000
Pr2 0.0000 0.3246 0.0278
Al1 0.0000 0.1028 0.3521
Al2 0.0000 0.2072 0.8427
Al3 0.0000 0.2118 0.2402
Al4 0.0000 0.3729 0.5072
Al5 0.0000 0.4434 0.1710
Pt1 0.0000 0.1086 0.7436
Pt2 0.0000 0.2738 0.5434
Pt3 0.0000 0.4463 0.7863
```

Top 12 peaks for 2θ from 5° to 70°, low angle first:
2theta, intensity, h k l
24.35, 25.9, 1 1 1
24.58, 44.3, 0 6 1
26.29, 57.8, 1 3 1
26.94, 24.6, 0 2 2
29.57, 22.6, 0 4 2
34.51, 54.6, 1 7 1
34.86, 100.0, 1 3 2
37.50, 29.4, 0 10 1
37.69, 29.4, 1 9 0
41.18, 45.1, 2 0 0
46.06, 27.4, 1 3 3
46.37, 23.3, 1 9 2

=====

Diffraction record for Pr2Al4Pt3Rh. The XRD peak list is calculated, not measured: it uses a DFT-relaxed cell (PBE, Alexandria) and Cu Kα, 1.54184 Å.
Neutral-atom scattering factors, no anomalous dispersion.

```
data_Pr2Al4Pt3Rh
_chemical_formula_sum 'Pr2 Al4 Pt3 Rh1'
_symmetry_space_group_name_H-M 'P -4 m 2'
_symmetry_Int_Tables_number 115
_cell_length_a 4.2984
_cell_length_b 4.2984
_cell_length_c 10.3720
_cell_angle_alpha 90.00
_cell_angle_beta 90.00
_cell_angle_gamma 90.00
loop_
_symmetry_equiv_pos_as_xyz
'x,y,z'
'y,-x,-z'
'-x,-y,z'
'-y,x,-z'
'-x,y,z'
'-y,-x,-z'
'x,-y,z'
'y,x,-z'
loop_
_atom_site_label
_atom_site_fract_x
_atom_site_fract_y
_atom_site_fract_z
Pr1 0.0000 0.5000 0.2481
Al1 0.0000 0.0000 0.5000
Al2 0.0000 0.5000 0.8754
Al3 0.5000 0.5000 0.5000
Pt1 0.0000 0.0000 0.0000
Pt2 0.0000 0.5000 0.6329
Rh1 0.5000 0.5000 0.0000
```

Top 12 peaks for 2θ from 5° to 70°, low angle first:
2theta, intensity, h k l
25.77, 28.6, 0 0 3
26.94, 47.7, 1 0 2
29.39, 22.3, 1 1 0
30.65, 61.5, 1 1 1
33.26, 73.6, 1 0 3
34.19, 100.0, 1 1 2
42.04, 71.8, 2 0 0
46.01, 24.0, 1 1 4
48.74, 35.2, 1 0 5
54.63, 36.1, 2 1 3
60.97, 24.0, 2 2 0
66.29, 28.1, 2 1 5

=====

Diffraction record for Pr2ScAlPt2. The XRD peak list is calculated, not measured: it uses a DFT-relaxed cell (PBE, Alexandria) and Cu Kα, 1.54184 Å.
Neutral-atom scattering factors, no anomalous dispersion.

```
data_Pr2ScAlPt2
_chemical_formula_sum 'Pr8 Sc4 Al4 Pt8'
_symmetry_space_group_name_H-M 'I b a m'
_symmetry_Int_Tables_number 72
_symmetry_space_group_name_Hall '-I 2 2c'
_cell_length_a 6.2186
_cell_length_b 13.8963
_cell_length_c 6.4414
_cell_angle_alpha 90.00
_cell_angle_beta 90.00
_cell_angle_gamma 90.00
loop_
_atom_site_label
_atom_site_fract_x
_atom_site_fract_y
_atom_site_fract_z
Pr1 0.2393 0.1794 0.0000
Sc1 0.0000 0.5000 0.2500
Al1 0.0000 0.0000 0.2500
Pt1 0.2408 0.1070 0.5000
```

Top 12 peaks for 2θ from 5° to 70°, low angle first:
2theta, intensity, h k l
23.65, 25.9, 1 2 1
25.64, 25.0, 0 4 0
27.70, 68.0, 0 0 2
28.71, 61.0, 2 0 0
32.63, 100.0, 1 4 1
38.10, 37.4, 0 4 2
38.87, 35.5, 2 4 0
40.32, 76.5, 2 0 2
44.03, 40.9, 1 6 1
48.40, 18.9, 2 4 2
52.20, 26.7, 1 4 3
53.40, 24.2, 3 4 1

=====

Diffraction record for Pr2ScAl2Pt5. The XRD peak list is calculated, not measured: it uses a DFT-relaxed cell (PBE, Alexandria) and Cu Kα, 1.54184 Å.
Neutral-atom scattering factors, no anomalous dispersion.

```
data_Pr2ScAl2Pt5
_chemical_formula_sum 'Pr4 Sc2 Al4 Pt10'
_symmetry_space_group_name_H-M 'P 4/m b m'
_symmetry_Int_Tables_number 127
_symmetry_space_group_name_Hall '-P 4 2ab'
_cell_length_a 10.5587
_cell_length_b 10.5587
_cell_length_c 3.4579
_cell_angle_alpha 90.00
_cell_angle_beta 90.00
_cell_angle_gamma 90.00
loop_
_atom_site_label
_atom_site_fract_x
_atom_site_fract_y
_atom_site_fract_z
Pr1 0.1770 0.3230 0.0000
Sc1 0.0000 0.0000 0.0000
Al1 0.1240 0.6240 0.0000
Pt1 0.0000 0.5000 0.5000
Pt2 0.0566 0.7933 0.5000
```

Top 12 peaks for 2θ from 5° to 70°, low angle first:
2theta, intensity, h k l
25.76, 29.8, 0 0 1
32.08, 47.7, 2 1 1
35.04, 89.1, 4 1 0
35.38, 33.8, 2 2 1
36.09, 39.6, 3 3 0
37.44, 100.0, 3 1 1
40.36, 41.6, 3 2 1
43.11, 24.7, 4 0 1
52.96, 23.3, 0 0 2
62.39, 27.0, 5 4 1
65.10, 46.5, 4 1 2
68.44, 19.8, 7 1 1

=====

Diffraction record for Pr2Al3SnPt4. The XRD peak list is calculated, not measured: it uses a DFT-relaxed cell (PBE, Alexandria) and Cu Kα, 1.54184 Å.
Neutral-atom scattering factors, no anomalous dispersion.

```
data_Pr2Al3SnPt4
_chemical_formula_sum 'Pr2 Al3 Sn1 Pt4'
_symmetry_space_group_name_H-M 'P -4 m 2'
_symmetry_Int_Tables_number 115
_cell_length_a 4.3861
_cell_length_b 4.3861
_cell_length_c 10.4981
_cell_angle_alpha 90.00
_cell_angle_beta 90.00
_cell_angle_gamma 90.00
loop_
_symmetry_equiv_pos_as_xyz
'x,y,z'
'y,-x,-z'
'-x,-y,z'
'-y,x,-z'
'-x,y,z'
'-y,-x,-z'
'x,-y,z'
'y,x,-z'
loop_
_atom_site_label
_atom_site_fract_x
_atom_site_fract_y
_atom_site_fract_z
Pr1 0.0000 0.5000 0.2452
Al1 0.0000 0.5000 0.8788
Al2 0.5000 0.5000 0.5000
Sn1 0.0000 0.0000 0.5000
Pt1 0.0000 0.0000 0.0000
Pt2 0.0000 0.5000 0.6435
Pt3 0.5000 0.5000 0.0000
```

Top 12 peaks for 2θ from 5° to 70°, low angle first:
2theta, intensity, h k l
25.45, 16.7, 0 0 3
26.48, 27.2, 1 0 2
30.04, 29.4, 1 1 1
32.74, 32.3, 1 0 3
33.56, 100.0, 1 1 2
41.16, 55.5, 2 0 0
45.26, 22.7, 1 1 4
48.04, 22.0, 1 0 5
49.02, 11.7, 2 0 3
53.56, 16.1, 2 1 3
59.62, 18.8, 2 2 0
65.07, 17.8, 2 1 5

=====

Diffraction record for Pr3AlZn2Pt9. The XRD peak list is calculated, not measured: it uses a DFT-relaxed cell (PBE, Alexandria) and Cu Kα, 1.54184 Å.
Neutral-atom scattering factors, no anomalous dispersion.

```
data_Pr3AlZn2Pt9
_chemical_formula_sum 'Pr3 Al1 Zn2 Pt9'
_symmetry_space_group_name_H-M 'P -3 m 1'
_symmetry_Int_Tables_number 164
_symmetry_space_group_name_Hall '-P 3 2"'
_cell_length_a 7.4460
_cell_length_b 7.4460
_cell_length_c 6.4970
_cell_angle_alpha 90.00
_cell_angle_beta 90.00
_cell_angle_gamma 120.00
loop_
_atom_site_label
_atom_site_fract_x
_atom_site_fract_y
_atom_site_fract_z
Pr1 0.0000 0.0000 0.0000
Pr2 0.3333 0.6667 0.6703
Al1 0.0000 0.0000 0.5000
Zn1 0.3333 0.6667 0.1691
Pt1 0.0000 0.5000 0.0000
Pt2 0.1648 0.3296 0.3346
```

Top 12 peaks for 2θ from 5° to 70°, low angle first:
2theta, intensity, h k l
19.39, 8.1, 1 0 1
30.96, 100.0, 0 2 1
39.37, 72.3, 2 0 2
39.49, 2.9, 2 1 1
41.71, 15.0, 0 0 3
48.64, 1.5, 1 1 3
48.93, 39.0, 2 2 0
53.11, 1.2, 1 3 1
59.04, 16.4, 4 0 1
64.21, 17.3, 0 2 4
64.54, 17.7, 0 4 2
66.20, 23.3, 2 2 3

=====

Question: Which formula does entry 4 have?
Answer: Pr2Al3Pt5

=====

Repeat the fourth record exactly.
Diffraction record for Pr2Al3Pt5. The XRD peak list is calculated, not measured: it uses a DFT-relaxed cell (PBE, Alexandria) and Cu Kα, 1.54184 Å.
Neutral-atom scattering factors, no anomalous dispersion.

```
data_Pr2Al3Pt5
_chemical_formula_sum 'Pr8 Al12 Pt20'
_symmetry_space_group_name_H-M 'C m c 21'
_symmetry_Int_Tables_number 36
_cell_length_a 4.2423
_cell_length_b 25.6301
_cell_length_c 6.9846
_cell_angle_alpha 90.00
_cell_angle_beta 90.00
_cell_angle_gamma 90.00
loop_
_symmetry_equiv_pos_as_xyz
'x,y,z'
'-x,-y,z+1/2'
'-x,y,z'
'x,-y,z+1/2'
'x+1/2,y+1/2,z'
'-x+1/2,-y+1/2,z+1/2'
'-x+1/2,y+1/2,z'
'x+1/2,-y+1/2,z+1/2'
loop_
_atom_site_label
_atom_site_fract_x
_atom_site_fract_y
_atom_site_fract_z
Pr1 0.0000 0.0231 0.0000
Pr2 0.0000 0.3281 0.9826
Al1 0.0000 0.1358 0.8432
Al2 0.0000 0.2820 0.4280
Al3 0.0000 0.4514 0.8268
Pt1 0.0000 0.0983 0.3261
Pt2 0.0000 0.1989 0.1561
Pt3 0.0000 0.2283 0.7298
Pt4 0.0000 0.3798 0.5413
Pt5 0.0000 0.4486 0.1953
```

Top 12 peaks for 2θ from 5° to 70°, low angle first:
2theta, intensity, h k l
14.44, 11.4, 0 2 1
26.71, 26.2, 1 3 1
33.13, 12.9, 0 6 2
34.86, 100.0, 1 7 1
37.37, 12.2, 0 10 1
37.70, 22.8, 1 5 2
38.07, 17.3, 1 9 0
41.26, 16.0, 0 4 3
42.62, 28.6, 2 0 0
44.35, 13.7, 0 12 1
46.37, 11.1, 1 9 2
65.87, 11.1, 1 13 3